No. 1
Diffraction record for Na2BiO3. The X-ray powder pattern is simulated, not measured: it uses a crystal structure in the Materials Project, relaxed with GGA-PBE and Cu Kα X-rays.

Top 8 peaks for 2θ = 15–90°, low angle first:
h k l	two_theta	I (rel.)
1 1 0	18.02	1000
1 1 -1	20.04	328
0 2 1	24.01	579
2 0 0	31.71	223
1 3 -1	32.25	414
2 0 -2	36.44	361
1 3 1	37.87	581
3 3 -1	52.89	213

Structural model:
Lattice parameters (Å, degrees): 6.0632 10.0749 5.8810 90.00 111.46 90.00
Space group C2/c (No. 15)
Inequivalent atoms, fractional coordinates:
Na  0.0000  0.0821  0.2500 (multiplicity 4)
Na  0.0000  0.2445  0.7500 (multiplicity 4)
Bi  0.0000  0.4091  0.2500 (multiplicity 4)
O  0.2130  0.4318  0.0015 (multiplicity 8)
O  0.2500  0.2500  0.5000 (multiplicity 4)

No. 2
Diffraction record for Na2BiO3. The X-ray powder pattern is simulated, not measured: it uses a crystal structure in the Materials Project, relaxed with GGA-PBE and Cu Kα X-rays.

Top 8 peaks for 2θ = 15–90°, low angle first:
h k l	two_theta	I (rel.)
0 0 2	15.86	1000
1 1 0	17.35	278
0 2 1	18.95	233
1 3 -1	30.50	381
1 3 1	31.83	457
2 0 2	36.80	328
1 3 -3	37.12	683
0 6 0	53.32	320

Structural model:
Lattice parameters (Å, degrees): 5.9689 10.3150 11.3298 90.00 99.55 90.00
Space group C2/c (No. 15)
Inequivalent atoms, fractional coordinates:
Na  0.0000  0.0838  0.2500 (multiplicity 4)
Na  0.2372  0.0842  0.0014 (multiplicity 8)
Na  0.2500  0.2500  0.5000 (multiplicity 4)
Bi  0.0000  0.2497  0.7500 (multiplicity 4)
Bi  0.0000  0.4175  0.2500 (multiplicity 4)
O  0.1028  0.4019  0.6366 (multiplicity 8)
O  0.1223  0.1015  0.6378 (multiplicity 8)
O  0.1653  0.2563  0.1413 (multiplicity 8)

No. 3
Diffraction record for Na2BiO3. The X-ray powder pattern is simulated, not measured: it uses a crystal structure in the Materials Project, relaxed with GGA-PBE and Cu Kα X-rays.

Top 8 peaks for 2θ = 15–90°, low angle first:
h k l	two_theta	I (rel.)
1 1 1	16.39	1000
0 2 2	20.06	206
1 1 5	26.86	309
0 2 6	31.83	331
2 2 0	31.93	329
0 4 0	36.65	240
2 0 6	37.13	466
2 4 6	53.17	311

Structural model:
Lattice parameters (Å, degrees): 6.8330 9.8067 20.5927 90.00 90.00 90.00
Space group Fdd2 (No. 43)
Inequivalent atoms, fractional coordinates:
Na  0.0000  0.0000  0.0000 (multiplicity 8)
Na  0.0000  0.0000  0.1601 (multiplicity 8)
Na  0.0000  0.0000  0.3289 (multiplicity 8)
Na  0.0000  0.0000  0.8343 (multiplicity 8)
Bi  0.0000  0.0000  0.4971 (multiplicity 8)
Bi  0.0000  0.0000  0.6647 (multiplicity 8)
O  0.0028  0.2201  0.6671 (multiplicity 16)
O  0.0185  0.2557  0.9878 (multiplicity 16)
O  0.0292  0.2519  0.8375 (multiplicity 16)

No. 4
Diffraction record for Na4Bi2O5. The X-ray powder pattern is simulated, not measured: it uses a crystal structure in the Materials Project, relaxed with GGA-PBE and Cu Kα X-rays.

Top 8 peaks for 2θ = 15–90°, low angle first:
h k l	two_theta	I (rel.)
0 1 2	18.92	584
2 0 -2	20.37	451
1 1 -3	22.04	1000
2 0 0	22.90	693
0 1 4	28.74	849
1 2 -1	30.70	580
1 2 1	32.80	606
3 1 -3	34.12	517

Structural model:
Lattice parameters (Å, degrees): 8.7439 6.1857 16.2046 90.00 117.32 90.00
Space group P2_1/c (No. 14)
Inequivalent atoms, fractional coordinates:
Na  0.0729  0.1591  0.0786 (multiplicity 4)
Na  0.2285  0.5339  0.0316 (multiplicity 4)
Na  0.3094  0.0412  0.9499 (multiplicity 4)
Na  0.3940  0.6180  0.9002 (multiplicity 4)
Bi  0.0386  0.6631  0.1935 (multiplicity 4)
Bi  0.4635  0.5785  0.6682 (multiplicity 4)
O  0.0897  0.6201  0.8746 (multiplicity 4)
O  0.1064  0.7181  0.5918 (multiplicity 4)
O  0.2784  0.5394  0.2988 (multiplicity 4)
O  0.3503  0.1995  0.0908 (multiplicity 4)
O  0.4690  0.7446  0.0590 (multiplicity 4)

No. 5
Diffraction record for Na2BiO3. The X-ray powder pattern is simulated, not measured: it uses a crystal structure in the Materials Project, relaxed with GGA-PBE and Cu Kα X-rays.

Top 8 peaks for 2θ = 15–90°, low angle first:
h k l	two_theta	I (rel.)
0 1 1	15.78	871
1 1 0	20.38	506
0 2 1	22.04	679
1 1 -1	24.28	1000
1 0 2	32.27	675
1 3 0	32.54	676
2 0 0	37.18	523
0 3 2	37.80	953

Structural model:
Lattice parameters (Å, degrees): 4.8368 10.0365 6.7737 90.00 90.18 90.00
Space group P2_1/c (No. 14)
Inequivalent atoms, fractional coordinates:
Na  0.2445  0.2454  0.3875 (multiplicity 4)
Na  0.2488  0.5814  0.8742 (multiplicity 4)
Bi  0.2590  0.5895  0.3600 (multiplicity 4)
O  0.2491  0.0651  0.6560 (multiplicity 4)
O  0.2528  0.7485  0.1203 (multiplicity 4)
O  0.2599  0.0706  0.1069 (multiplicity 4)

No. 6
Diffraction record for Na4Bi2O5. The X-ray powder pattern is simulated, not measured: it uses a crystal structure in the Materials Project, relaxed with GGA-PBE and Cu Kα X-rays.

Top 8 peaks for 2θ = 15–90°, low angle first:
h k l	two_theta	I (rel.)
0 0 2	18.04	1000
4 0 0	24.05	153
1 0 3	27.79	115
4 0 2	30.16	327
4 1 1	30.25	445
0 2 0	31.62	164
0 2 2	36.61	128
3 1 4	44.08	151

Structural model:
Lattice parameters (Å, degrees): 14.7997 5.6588 9.8649 90.00 90.00 90.00
Space group Pnna (No. 52)
Inequivalent atoms, fractional coordinates:
Na  0.0237  0.0182  0.1429 (multiplicity 8)
Na  0.1944  0.2500  0.2500 (multiplicity 4)
Na  0.2500  0.0000  0.9220 (multiplicity 4)
Bi  0.1165  0.5304  0.9547 (multiplicity 8)
O  0.0458  0.0528  0.3678 (multiplicity 8)
O  0.1122  0.6024  0.5354 (multiplicity 8)
O  0.2500  0.0000  0.4261 (multiplicity 4)

No. 7
Diffraction record for Na4Bi2O5. The X-ray powder pattern is simulated, not measured: it uses a crystal structure in the Materials Project, relaxed with GGA-PBE and Cu Kα X-rays.

Top 8 peaks for 2θ = 15–90°, low angle first:
h k l	two_theta	I (rel.)
1 1 0	19.37	562
0 1 2	20.69	658
0 2 1	21.09	665
1 0 -2	31.01	509
1 3 1	31.74	1000
2 1 1	34.87	749
0 2 -2	36.35	655
0 3 3	38.22	644

Structural model:
Lattice parameters (Å, degrees): 5.1468 8.9005 9.0666 66.80 74.21 73.31
Space group P-1 (No. 2)
Inequivalent atoms, fractional coordinates:
Na  0.0845  0.2962  0.0496 (multiplicity 2)
Na  0.0905  0.7994  0.5391 (multiplicity 2)
Na  0.2459  0.8796  0.1279 (multiplicity 2)
Na  0.4141  0.4948  0.1743 (multiplicity 2)
Bi  0.2334  0.3784  0.6321 (multiplicity 2)
Bi  0.4167  0.9404  0.7345 (multiplicity 2)
O  0.1201  0.5275  0.7755 (multiplicity 2)
O  0.1698  0.0448  0.2962 (multiplicity 2)
O  0.1782  0.6222  0.3802 (multiplicity 2)
O  0.2469  0.1216  0.8556 (multiplicity 2)
O  0.4142  0.7250  0.9396 (multiplicity 2)

No. 8
Diffraction record for NaSrPrBiO6. The X-ray powder pattern is simulated, not measured: it uses a crystal structure in the Materials Project, relaxed with GGA-PBE and Cu Kα X-rays.

Top 8 peaks for 2θ = 15–90°, low angle first:
h k l	two_theta	I (rel.)
2 0 0	20.10	471
2 2 0	28.57	1000
4 0 0	40.84	326
4 2 0	45.92	217
4 2 2	50.60	425
4 4 0	59.14	207
6 2 0	66.97	190
6 4 2	81.51	225

Structural model:
Lattice parameters (Å, degrees): 8.8374 8.8374 8.8374 90.00 90.00 90.00
Space group F-43m (No. 216)
Inequivalent atoms, fractional coordinates:
Na  0.0000  0.0000  0.0000 (multiplicity 4)
Sr  0.0000  0.0000  0.5000 (multiplicity 4)
Pr  0.2500  0.2500  0.7500 (multiplicity 4)
Bi  0.2500  0.2500  0.2500 (multiplicity 4)
O  0.0116  0.2500  0.2500 (multiplicity 24)

No. 9
Diffraction record for NaSrPrBiO6. The X-ray powder pattern is simulated, not measured: it uses a crystal structure in the Materials Project, relaxed with GGA-PBE and Cu Kα X-rays.

Top 8 peaks for 2θ = 15–90°, low angle first:
h k l	two_theta	I (rel.)
0 0 2	20.41	427
2 0 0	20.91	360
0 2 2	29.18	902
2 0 2	29.38	826
2 2 0	29.54	1000
2 2 4	51.76	434
2 4 2	52.05	478
4 2 2	52.43	436

Structural model:
Lattice parameters (Å, degrees): 8.4987 8.6112 8.7022 90.00 90.00 90.00
Space group Pnnn (No. 48, origin choice 2)
Inequivalent atoms, fractional coordinates:
Na  0.2500  0.2500  0.2500 (multiplicity 2)
Na  0.2500  0.7500  0.7500 (multiplicity 2)
Sr  0.2500  0.2500  0.7500 (multiplicity 2)
Sr  0.2500  0.7500  0.2500 (multiplicity 2)
Pr  0.0000  0.0000  0.0000 (multiplicity 4)
Bi  0.0000  0.0000  0.5000 (multiplicity 4)
O  0.0002  0.0614  0.7381 (multiplicity 8)
O  0.0850  0.2359  0.4655 (multiplicity 8)
O  0.2362  0.5820  0.9854 (multiplicity 8)

What did the sixth record say?
Diffraction record for Na4Bi2O5. The X-ray powder pattern is simulated, not measured: it uses a crystal structure in the Materials Project, relaxed with GGA-PBE and Cu Kα X-rays.

Top 8 peaks for 2θ = 15–90°, low angle first:
h k l	two_theta	I (rel.)
0 0 2	18.04	1000
4 0 0	24.05	153
1 0 3	27.79	115
4 0 2	30.16	327
4 1 1	30.25	445
0 2 0	31.62	164
0 2 2	36.61	128
3 1 4	44.08	151

Structural model:
Lattice parameters (Å, degrees): 14.7997 5.6588 9.8649 90.00 90.00 90.00
Space group Pnna (No. 52)
Inequivalent atoms, fractional coordinates:
Na  0.0237  0.0182  0.1429 (multiplicity 8)
Na  0.1944  0.2500  0.2500 (multiplicity 4)
Na  0.2500  0.0000  0.9220 (multiplicity 4)
Bi  0.1165  0.5304  0.9547 (multiplicity 8)
O  0.0458  0.0528  0.3678 (multiplicity 8)
O  0.1122  0.6024  0.5354 (multiplicity 8)
O  0.2500  0.0000  0.4261 (multiplicity 4)